1.
Structure and theoretical X-ray powder pattern of Ac3AgC4O12 (a structure optimized by DFT (PBE); Cu Kα, 1.54184 Å).
Neutral-atom scattering factors, no anomalous dispersion.

Atomic structure:
```
data_Ac3AgC4O12
_cell_length_a 7.2352
_cell_length_b 7.2352
_cell_length_c 7.2352
_cell_angle_alpha 109.47
_cell_angle_beta 109.47
_cell_angle_gamma 109.47
_symmetry_space_group_name_H-M 'P 1'
_symmetry_Int_Tables_number 1
_symmetry_space_group_name_Hall 'P 1'
loop_
_atom_site_label
_atom_site_type_symbol
_atom_site_fract_x
_atom_site_fract_y
_atom_site_fract_z
_atom_site_occupancy
Ac1 Ac 0.0000 0.5000 0.5000 1
Ac2 Ac 0.5000 0.0000 0.5000 1
Ac3 Ac 0.5000 0.5000 0.0000 1
Ag1 Ag 0.0000 0.0000 0.0000 1
C1 C 0.0000 0.0000 0.5000 1
C2 C 0.0000 0.5000 0.0000 1
C3 C 0.5000 0.0000 0.0000 1
C4 C 0.5000 0.5000 0.5000 1
O1 O 0.1098 0.2197 0.6098 1
O2 O 0.1098 0.8902 0.5000 1
O3 O 0.2197 0.6098 0.1098 1
O4 O 0.3902 0.6098 0.5000 1
O5 O 0.3902 0.7803 0.8902 1
O6 O 0.5000 0.1098 0.8902 1
O7 O 0.5000 0.3902 0.6098 1
O8 O 0.6098 0.1098 0.2197 1
O9 O 0.6098 0.5000 0.3902 1
O10 O 0.7803 0.8902 0.3902 1
O11 O 0.8902 0.3902 0.7803 1
O12 O 0.8902 0.5000 0.1098 1
```

The 10 most intense peaks (2θ = 15–90°), sorted by position:
two_theta	intensity
21.27	63
30.26	100
37.28	28
43.32	15
48.75	47
53.75	35
67.24	19
71.41	15
75.48	12
87.34	20



2.
Structure and theoretical X-ray powder pattern of Cd2SiAu6 (a structure optimized by DFT (PBE); Cu Kα, 1.54184 Å).
Neutral-atom scattering factors, no anomalous dispersion.

Atomic structure:
```
data_Cd2SiAu6
_cell_length_a 2.9764
_cell_length_b 7.9902
_cell_length_c 7.9902
_cell_angle_alpha 120.00
_cell_angle_beta 90.00
_cell_angle_gamma 90.00
_symmetry_space_group_name_H-M 'P 1'
_symmetry_Int_Tables_number 1
_symmetry_space_group_name_Hall 'P 1'
loop_
_atom_site_label
_atom_site_type_symbol
_atom_site_fract_x
_atom_site_fract_y
_atom_site_fract_z
_atom_site_occupancy
Cd1 Cd 0.0000 0.1664 0.8336 1
Cd2 Cd 0.0000 0.8336 0.1664 1
Si1 Si 0.5000 0.4996 0.4996 1
Au1 Au 0.0000 0.2279 0.5005 1
Au2 Au 0.0000 0.5005 0.2279 1
Au3 Au 0.0000 0.7716 0.7716 1
Au4 Au 0.5000 0.1222 0.1222 1
Au5 Au 0.5000 0.4999 0.8789 1
Au6 Au 0.5000 0.8789 0.4999 1
```

The 10 most intense peaks (2θ = 15–90°), sorted by position:
two_theta	intensity
22.25	14
34.29	48
37.69	100
39.05	58
39.96	28
46.21	11
55.39	14
66.79	23
69.85	11
76.12	17



3.
Structure and theoretical X-ray powder pattern of Al7Ag (a structure optimized by DFT (PBE); Cu Kα, 1.54184 Å).
Neutral-atom scattering factors, no anomalous dispersion.

Atomic structure:
```
data_Al7Ag
_cell_length_a 5.7376
_cell_length_b 5.7376
_cell_length_c 5.7376
_cell_angle_alpha 60.00
_cell_angle_beta 60.00
_cell_angle_gamma 60.00
_symmetry_space_group_name_H-M 'P 1'
_symmetry_Int_Tables_number 1
_symmetry_space_group_name_Hall 'P 1'
loop_
_atom_site_label
_atom_site_type_symbol
_atom_site_fract_x
_atom_site_fract_y
_atom_site_fract_z
_atom_site_occupancy
Al1 Al 0.0000 0.0000 0.0000 1
Al2 Al 0.0000 0.0000 0.5000 1
Al3 Al 0.0000 0.5000 0.0000 1
Al4 Al 0.0000 0.5000 0.5000 1
Al5 Al 0.5000 0.0000 0.0000 1
Al6 Al 0.5000 0.0000 0.5000 1
Al7 Al 0.5000 0.5000 0.0000 1
Ag1 Ag 0.5000 0.5000 0.5000 1
```

The 10 most intense peaks (2θ = 15–90°), sorted by position:
two_theta	intensity
18.94	48
21.91	26
31.18	21
36.73	28
38.43	100
44.67	48
48.93	12
50.29	11
65.02	30
78.13	36



4.
Structure and theoretical X-ray powder pattern of SrCdIn2Au2 (a structure optimized by DFT (PBE); Cu Kα, 1.54184 Å).
Neutral-atom scattering factors, no anomalous dispersion.

Atomic structure:
```
data_SrCdIn2Au2
_cell_length_a 4.8307
_cell_length_b 4.8307
_cell_length_c 7.3620
_cell_angle_alpha 90.00
_cell_angle_beta 90.00
_cell_angle_gamma 120.00
_symmetry_space_group_name_H-M 'P 1'
_symmetry_Int_Tables_number 1
_symmetry_space_group_name_Hall 'P 1'
loop_
_atom_site_label
_atom_site_type_symbol
_atom_site_fract_x
_atom_site_fract_y
_atom_site_fract_z
_atom_site_occupancy
Sr1 Sr 0.0000 0.0000 0.0000 1
Cd1 Cd 0.0000 0.0000 0.5000 1
In1 In 0.3333 0.6667 0.7111 1
In2 In 0.6667 0.3333 0.2889 1
Au1 Au 0.3333 0.6667 0.2852 1
Au2 Au 0.6667 0.3333 0.7148 1
```

The 10 most intense peaks (2θ = 15–90°), sorted by position:
two_theta	intensity
24.18	19
24.47	17
32.40	100
37.23	100
44.88	23
50.16	29
53.21	14
63.55	20
64.10	27
67.12	18



5.
Structure and theoretical X-ray powder pattern of K2Mg2I7 (a structure optimized by DFT (PBE); Cu Kα, 1.54184 Å).
Neutral-atom scattering factors, no anomalous dispersion.

Atomic structure:
```
data_K2Mg2I7
_cell_length_a 8.8096
_cell_length_b 8.8096
_cell_length_c 7.2333
_cell_angle_alpha 95.15
_cell_angle_beta 95.15
_cell_angle_gamma 95.55
_symmetry_space_group_name_H-M 'P 1'
_symmetry_Int_Tables_number 1
_symmetry_space_group_name_Hall 'P 1'
loop_
_atom_site_label
_atom_site_type_symbol
_atom_site_fract_x
_atom_site_fract_y
_atom_site_fract_z
_atom_site_occupancy
K1 K 0.2246 0.7754 0.0000 1
K2 K 0.7754 0.2246 0.0000 1
Mg1 Mg 0.2683 0.2683 0.5412 1
Mg2 Mg 0.7317 0.7317 0.4588 1
I1 I 0.0599 0.4136 0.7330 1
I2 I 0.1488 0.1488 0.1939 1
I3 I 0.4136 0.0599 0.7330 1
I4 I 0.5000 0.5000 0.5000 1
I5 I 0.5864 0.9401 0.2670 1
I6 I 0.8512 0.8512 0.8061 1
I7 I 0.9401 0.5864 0.2670 1
```

The 10 most intense peaks (2θ = 15–90°), sorted by position:
two_theta	intensity
15.12	51
16.77	22
23.75	25
24.61	100
24.90	49
25.63	36
27.37	52
27.83	23
34.35	26
42.65	23



6.
Structure and theoretical X-ray powder pattern of Al2TcP (a structure optimized by DFT (PBE); Cu Kα, 1.54184 Å).
Neutral-atom scattering factors, no anomalous dispersion.

Atomic structure:
```
data_Al2TcP
_cell_length_a 3.8640
_cell_length_b 3.2577
_cell_length_c 9.5078
_cell_angle_alpha 90.00
_cell_angle_beta 90.00
_cell_angle_gamma 90.00
_symmetry_space_group_name_H-M 'P 1'
_symmetry_Int_Tables_number 1
_symmetry_space_group_name_Hall 'P 1'
loop_
_atom_site_label
_atom_site_type_symbol
_atom_site_fract_x
_atom_site_fract_y
_atom_site_fract_z
_atom_site_occupancy
Al1 Al 0.0000 0.0000 0.0000 1
Al2 Al 0.0000 0.5000 0.5000 1
Al3 Al 0.5000 0.0000 0.3222 1
Al4 Al 0.5000 0.5000 0.8222 1
Tc1 Tc 0.0000 0.0000 0.7224 1
Tc2 Tc 0.0000 0.5000 0.2224 1
P1 P 0.5000 0.0000 0.5795 1
P2 P 0.5000 0.5000 0.0795 1
```

The 10 most intense peaks (2θ = 15–90°), sorted by position:
two_theta	intensity
18.67	62
23.02	30
28.97	63
29.80	35
37.32	100
39.68	38
44.76	60
46.37	67
47.03	31
74.81	26



Question: What is the formula in the third record?
Answer: Al7Ag